Starting from a cell relaxed with GGA-PBE, the X-ray diffraction stick pattern of Mn2CuRhN was computed for Cu Kα X-rays.
No peak broadening, texture or thermal motion is included.

Structural model:
```
Mn2CuRhN
1.0
3.8821 0.0000 0.0000
0.0000 3.8821 0.0000
0.0000 0.0000 4.0432
Mn Cu Rh N
2 1 1 1
Direct
0.0000 0.5000 0.0000
0.5000 0.0000 0.0000
0.0000 0.0000 0.5000
0.5000 0.5000 0.5000
0.5000 0.5000 0.0000
```

Main lines, low angle first (5 to 70 degrees two-theta):
| 2theta | I/Imax | index |
| --- | --- | --- |
| 22.0 | 3 | 0 0 1 |
| 22.9 | 8 | 1 0 0 |
| 32.6 | 7 | 1 1 0 |
| 39.7 | 100 | 1 1 1 |
| 44.8 | 21 | 0 0 2 |
| 46.8 | 36 | 2 0 0 |
| 52.3 | 2 | 2 0 1 |
| 56.5 | 3 | 1 1 2 |
| 66.8 | 23 | 2 0 2 |
| 68.3 | 11 | 2 2 0 |